Structure and theoretical powder X-ray diffraction pattern of NaSi2BO7 (a structure optimized by DFT (GGA-PBE); CuKα).
No peak broadening, texture or thermal motion is included.

Principal peaks in the range 2θ from 5° to 70°, sorted by position:
10.84 deg, I = 65, hkl 0 0 1
20.45 deg, I = 73, hkl 1 0 -1
21.55 deg, I = 100, hkl 1 0 1
24.66 deg, I = 46, hkl 0 2 0
24.86 deg, I = 39, hkl 1 1 1
25.06 deg, I = 58, hkl 0 1 2
27.00 deg, I = 92, hkl 0 2 1
27.51 deg, I = 42, hkl 1 0 -2
30.21 deg, I = 53, hkl 1 1 -2
32.97 deg, I = 51, hkl 1 2 1

Structure:
```
data_NaSi2BO7
_chemical_formula_sum 'Na2 Si4 B2 O14'
_cell_length_a 4.953
_cell_length_b 7.222
_cell_length_c 8.178
_cell_angle_alpha 90.00
_cell_angle_beta 93.35
_cell_angle_gamma 90.00
_space_group_name_H-M_alt 'P 1 21 1'
_space_group_IT_number 4
loop_
_space_group_symop_operation_xyz
'x,y,z'
'-x,y+1/2,-z'
loop_
_atom_site_label
_atom_site_fract_x
_atom_site_fract_y
_atom_site_fract_z
Na1 0.014 0.000 0.058
Si1 0.213 0.912 0.633
Si2 0.305 0.489 0.581
B1 0.383 0.207 0.839
O1 0.104 0.456 0.419
O2 0.247 0.690 0.664
O3 0.257 0.336 0.720
O4 0.301 0.016 0.803
O5 0.324 0.254 0.006
O6 0.329 0.728 0.120
O7 0.387 0.983 0.481
```

=====

Structure and theoretical powder X-ray diffraction pattern of Mg6CoMo (a structure optimized by DFT (GGA-PBE); CuKα).
No peak broadening, texture or thermal motion is included.

Principal peaks in the range 2θ from 5° to 70°, sorted by position:
16.19 deg, I = 52, hkl 0 0 2
17.20 deg, I = 100, hkl 0 1 1
28.84 deg, I = 16, hkl 0 1 3
34.80 deg, I = 84, hkl 0 2 2
38.12 deg, I = 96, hkl 1 0 4
38.65 deg, I = 52, hkl 2 0 0
39.97 deg, I = 100, hkl 1 2 2
42.59 deg, I = 19, hkl 2 1 1
48.50 deg, I = 18, hkl 1 1 5
52.98 deg, I = 36, hkl 2 2 2

Structure:
```
data_Mg6CoMo
_chemical_formula_sum 'Mg12 Co2 Mo2'
_cell_length_a 4.659
_cell_length_b 5.843
_cell_length_c 10.952
_cell_angle_alpha 90.00
_cell_angle_beta 90.00
_cell_angle_gamma 90.00
_space_group_name_H-M_alt 'A m m 2'
_space_group_IT_number 38
loop_
_space_group_symop_operation_xyz
'x,y,z'
'-x,-y,z'
'-x,y,z'
'x,-y,z'
'x,y+1/2,z+1/2'
'-x,-y+1/2,z+1/2'
'-x,y+1/2,z+1/2'
'x,-y+1/2,z+1/2'
loop_
_atom_site_label
_atom_site_fract_x
_atom_site_fract_y
_atom_site_fract_z
Mg1 0.000 0.000 0.000
Mg2 0.000 0.238 0.257
Mg3 0.500 0.000 0.845
Mg4 0.500 0.243 0.597
Co1 0.000 0.000 0.472
Mo1 0.500 0.000 0.368
```

=====

Structure and theoretical powder X-ray diffraction pattern of Hg2C3I5N (a structure optimized by DFT (GGA-PBE); CuKα).
No peak broadening, texture or thermal motion is included.

Principal peaks in the range 2θ from 5° to 70°, sorted by position:
10.25 deg, I = 37, hkl 0 2 0
11.54 deg, I = 100, hkl 2 0 0
15.46 deg, I = 29, hkl 2 2 0
19.11 deg, I = 94, hkl 2 2 1
21.31 deg, I = 68, hkl 3 1 1
22.43 deg, I = 55, hkl 0 0 2
23.25 deg, I = 30, hkl 4 0 0
25.29 deg, I = 39, hkl 2 0 -2
33.24 deg, I = 44, hkl 4 4 1
42.67 deg, I = 55, hkl 6 4 -1

Structure:
```
data_Hg2C3I5N
_chemical_formula_sum 'Hg8 C12 I20 N4'
_cell_length_a 15.333
_cell_length_b 17.264
_cell_length_c 7.928
_cell_angle_alpha 90.00
_cell_angle_beta 90.24
_cell_angle_gamma 90.00
_space_group_name_H-M_alt 'C 1 c 1'
_space_group_IT_number 9
loop_
_space_group_symop_operation_xyz
'x,y,z'
'x,-y,z+1/2'
'x+1/2,y+1/2,z'
'x+1/2,-y+1/2,z+1/2'
loop_
_atom_site_label
_atom_site_fract_x
_atom_site_fract_y
_atom_site_fract_z
Hg1 0.000 0.068 0.000
Hg2 0.001 0.431 0.498
C1 0.253 0.185 0.471
C2 0.254 0.248 0.401
C3 0.256 0.375 0.250
I1 0.067 0.437 0.879
I2 0.092 0.197 0.993
I3 0.251 0.082 0.578
I4 0.413 0.200 0.987
I5 0.431 0.437 0.878
N1 0.255 0.314 0.323
```

=====

Structure and theoretical powder X-ray diffraction pattern of GdTa3O9 (a structure optimized by DFT (GGA-PBE); CuKα).
No peak broadening, texture or thermal motion is included.

Principal peaks in the range 2θ from 5° to 70°, sorted by position:
23.29 deg, I = 83, hkl 0 2 0
27.05 deg, I = 55, hkl 0 2 1
27.35 deg, I = 52, hkl 2 2 0
28.49 deg, I = 82, hkl 4 0 0
29.83 deg, I = 93, hkl 2 0 -2
31.15 deg, I = 100, hkl 2 2 1
31.87 deg, I = 71, hkl 2 0 2
38.86 deg, I = 52, hkl 4 2 -1
52.81 deg, I = 49, hkl 6 2 1
58.73 deg, I = 45, hkl 4 2 3

Structure:
```
data_GdTa3O9
_chemical_formula_sum 'Gd4 Ta12 O36'
_cell_length_a 12.570
_cell_length_b 7.638
_cell_length_c 6.555
_cell_angle_alpha 90.00
_cell_angle_beta 94.51
_cell_angle_gamma 90.00
_space_group_name_H-M_alt 'C 1 2/m 1'
_space_group_IT_number 12
loop_
_space_group_symop_operation_xyz
'x,y,z'
'-x,-y,-z'
'-x,y,-z'
'x,-y,z'
'x+1/2,y+1/2,z'
'-x+1/2,-y+1/2,-z'
'-x+1/2,y+1/2,-z'
'x+1/2,-y+1/2,z'
loop_
_atom_site_label
_atom_site_fract_x
_atom_site_fract_y
_atom_site_fract_z
Gd1 0.232 0.000 0.054
Ta1 0.035 0.249 0.764
Ta2 0.250 0.250 0.500
O1 0.040 0.000 0.717
O2 0.074 0.500 0.810
O3 0.091 0.217 0.070
O4 0.091 0.286 0.455
O5 0.209 0.210 0.782
O6 0.230 0.000 0.416
```

=====

Structure and theoretical powder X-ray diffraction pattern of Zn3Sn (a structure optimized by DFT (GGA-PBE); CuKα).
No peak broadening, texture or thermal motion is included.

Principal peaks in the range 2θ from 5° to 70°, sorted by position:
30.26 deg, I = 70, hkl 0 0 2
31.50 deg, I = 53, hkl 1 0 -2
37.29 deg, I = 79, hkl 1 -2 0
38.51 deg, I = 73, hkl 1 2 -2
41.58 deg, I = 100, hkl 2 0 0
42.27 deg, I = 47, hkl 1 -2 2
42.78 deg, I = 44, hkl 1 2 0
44.32 deg, I = 35, hkl 2 0 -2
56.03 deg, I = 24, hkl 0 2 2
56.75 deg, I = 18, hkl 0 2 -4

Structure:
```
data_Zn3Sn
_chemical_formula_sum 'Zn6 Sn2'
_cell_length_a 4.524
_cell_length_b 5.834
_cell_length_c 6.757
_cell_angle_alpha 114.38
_cell_angle_beta 104.05
_cell_angle_gamma 91.73
_space_group_name_H-M_alt 'P -1'
_space_group_IT_number 2
loop_
_space_group_symop_operation_xyz
'x,y,z'
'-x,-y,-z'
loop_
_atom_site_label
_atom_site_fract_x
_atom_site_fract_y
_atom_site_fract_z
Zn1 0.241 0.365 0.232
Zn2 0.242 0.816 0.668
Zn3 0.243 0.349 0.668
Sn1 0.218 0.840 0.182
```

=====

What did the third record say?
Structure and theoretical powder X-ray diffraction pattern of Hg2C3I5N (a structure optimized by DFT (GGA-PBE); CuKα).
No peak broadening, texture or thermal motion is included.

Principal peaks in the range 2θ from 5° to 70°, sorted by position:
10.25 deg, I = 37, hkl 0 2 0
11.54 deg, I = 100, hkl 2 0 0
15.46 deg, I = 29, hkl 2 2 0
19.11 deg, I = 94, hkl 2 2 1
21.31 deg, I = 68, hkl 3 1 1
22.43 deg, I = 55, hkl 0 0 2
23.25 deg, I = 30, hkl 4 0 0
25.29 deg, I = 39, hkl 2 0 -2
33.24 deg, I = 44, hkl 4 4 1
42.67 deg, I = 55, hkl 6 4 -1

Structure:
```
data_Hg2C3I5N
_chemical_formula_sum 'Hg8 C12 I20 N4'
_cell_length_a 15.333
_cell_length_b 17.264
_cell_length_c 7.928
_cell_angle_alpha 90.00
_cell_angle_beta 90.24
_cell_angle_gamma 90.00
_space_group_name_H-M_alt 'C 1 c 1'
_space_group_IT_number 9
loop_
_space_group_symop_operation_xyz
'x,y,z'
'x,-y,z+1/2'
'x+1/2,y+1/2,z'
'x+1/2,-y+1/2,z+1/2'
loop_
_atom_site_label
_atom_site_fract_x
_atom_site_fract_y
_atom_site_fract_z
Hg1 0.000 0.068 0.000
Hg2 0.001 0.431 0.498
C1 0.253 0.185 0.471
C2 0.254 0.248 0.401
C3 0.256 0.375 0.250
I1 0.067 0.437 0.879
I2 0.092 0.197 0.993
I3 0.251 0.082 0.578
I4 0.413 0.200 0.987
I5 0.431 0.437 0.878
N1 0.255 0.314 0.323
```

=====

- Number 5 is which compound?
  Zn3Sn